(1)
Diffraction record for K14Tl21Cd9. The X-ray diffraction stick pattern is theoretical, not measured: it uses a DFT-relaxed cell (PBE, the Materials Project) and Cu Kα, 1.54184 Å.
Peak positions follow from Bragg's law for the DFT cell and can differ from measured ones.

Cell and atoms:
```
data_K14Tl21Cd9
_chemical_formula_sum 'K14 Tl21 Cd9'
_symmetry_space_group_name_H-M 'P 1'
_symmetry_Int_Tables_number 1
_cell_length_a 10.217
_cell_length_b 10.217
_cell_length_c 17.577
_cell_angle_alpha 90.00
_cell_angle_beta 90.00
_cell_angle_gamma 120.00
loop_
_symmetry_equiv_pos_as_xyz
'x,y,z'
loop_
_atom_site_label
_atom_site_type_symbol
_atom_site_fract_x
_atom_site_fract_y
_atom_site_fract_z
K1 K 0.000 0.388 0.184
K2 K 0.000 0.388 0.816
K3 K 0.000 0.749 0.322
K4 K 0.000 0.749 0.678
K5 K 0.251 0.251 0.322
K6 K 0.251 0.251 0.678
K7 K 0.333 0.667 0.000
K8 K 0.388 0.000 0.184
K9 K 0.388 0.000 0.816
K10 K 0.612 0.612 0.184
K11 K 0.612 0.612 0.816
K12 K 0.667 0.333 0.000
K13 K 0.749 0.000 0.322
K14 K 0.749 0.000 0.678
Tl1 Tl 0.000 0.000 0.153
Tl2 Tl 0.000 0.000 0.847
Tl3 Tl 0.000 0.221 0.000
Tl4 Tl 0.000 0.401 0.391
Tl5 Tl 0.000 0.401 0.609
Tl6 Tl 0.000 0.705 0.094
Tl7 Tl 0.000 0.705 0.906
Tl8 Tl 0.221 0.000 0.000
Tl9 Tl 0.295 0.295 0.094
Tl10 Tl 0.295 0.295 0.906
Tl11 Tl 0.333 0.667 0.336
Tl12 Tl 0.333 0.667 0.664
Tl13 Tl 0.401 0.000 0.391
Tl14 Tl 0.401 0.000 0.609
Tl15 Tl 0.599 0.599 0.391
Tl16 Tl 0.599 0.599 0.609
Tl17 Tl 0.667 0.333 0.336
Tl18 Tl 0.667 0.333 0.664
Tl19 Tl 0.705 0.000 0.094
Tl20 Tl 0.705 0.000 0.906
Tl21 Tl 0.779 0.779 0.000
Cd1 Cd 0.000 0.165 0.500
Cd2 Cd 0.165 0.000 0.500
Cd3 Cd 0.172 0.701 0.500
Cd4 Cd 0.299 0.472 0.500
Cd5 Cd 0.472 0.299 0.500
Cd6 Cd 0.528 0.828 0.500
Cd7 Cd 0.701 0.172 0.500
Cd8 Cd 0.828 0.528 0.500
Cd9 Cd 0.835 0.835 0.500
```

The 10 most intense peaks (2θ from 5° to 70°), most intense first:
| 2θ/deg | I_rel |
| --- | --- |
| 11.20 | 100 |
| 36.66 | 82 |
| 30.88 | 77 |
| 10.06 | 69 |
| 18.11 | 56 |
| 33.68 | 52 |
| 30.31 | 49 |
| 30.78 | 46 |
| 36.99 | 33 |
| 35.32 | 32 |

(2)
Diffraction record for Cs2PdI6. The X-ray diffraction stick pattern is theoretical, not measured: it uses a DFT-relaxed cell (PBE, the Materials Project) and Cu Kα, 1.54184 Å.
Peak positions follow from Bragg's law for the DFT cell and can differ from measured ones.

Cell and atoms:
```
data_Cs2PdI6
_chemical_formula_sum 'Cs2 Pd1 I6'
_symmetry_space_group_name_H-M 'P 1'
_symmetry_Int_Tables_number 1
_cell_length_a 8.023
_cell_length_b 8.023
_cell_length_c 8.023
_cell_angle_alpha 109.77
_cell_angle_beta 109.77
_cell_angle_gamma 108.88
loop_
_symmetry_equiv_pos_as_xyz
'x,y,z'
loop_
_atom_site_label
_atom_site_type_symbol
_atom_site_fract_x
_atom_site_fract_y
_atom_site_fract_z
Cs1 Cs 0.250 0.750 0.500
Cs2 Cs 0.750 0.250 0.500
Pd1 Pd 0.000 0.000 0.000
I1 I 0.204 0.204 0.408
I2 I 0.204 0.796 0.000
I3 I 0.346 0.346 0.000
I4 I 0.654 0.654 0.000
I5 I 0.796 0.204 0.000
I6 I 0.796 0.796 0.592
```

The 10 most intense peaks (2θ from 5° to 70°), most intense first:
| 2θ/deg | I_rel |
| --- | --- |
| 27.33 | 100 |
| 27.18 | 94 |
| 45.91 | 46 |
| 30.32 | 40 |
| 23.44 | 32 |
| 39.03 | 27 |
| 30.59 | 27 |
| 13.53 | 25 |
| 54.40 | 23 |
| 36.37 | 22 |

(3)
Diffraction record for Pr5Mg. The X-ray diffraction stick pattern is theoretical, not measured: it uses a DFT-relaxed cell (PBE, the Materials Project) and Cu Kα, 1.54184 Å.
Peak positions follow from Bragg's law for the DFT cell and can differ from measured ones.

Cell and atoms:
```
data_Pr5Mg
_chemical_formula_sum 'Pr5 Mg1'
_symmetry_space_group_name_H-M 'P 1'
_symmetry_Int_Tables_number 1
_cell_length_a 5.927
_cell_length_b 9.441
_cell_length_c 9.441
_cell_angle_alpha 22.93
_cell_angle_beta 90.00
_cell_angle_gamma 90.00
loop_
_symmetry_equiv_pos_as_xyz
'x,y,z'
loop_
_atom_site_label
_atom_site_type_symbol
_atom_site_fract_x
_atom_site_fract_y
_atom_site_fract_z
Pr1 Pr 0.000 0.000 0.000
Pr2 Pr 0.000 0.322 0.322
Pr3 Pr 0.500 0.199 0.199
Pr4 Pr 0.500 0.539 0.539
Pr5 Pr 0.500 0.868 0.868
Mg1 Mg 0.000 0.659 0.659
```

The 10 most intense peaks (2θ from 5° to 70°), most intense first:
| 2θ/deg | I_rel |
| --- | --- |
| 31.73 | 100 |
| 30.16 | 33 |
| 32.73 | 26 |
| 54.56 | 21 |
| 28.95 | 19 |
| 60.06 | 15 |
| 42.29 | 13 |
| 27.83 | 13 |
| 50.62 | 12 |
| 58.19 | 10 |

(4)
Diffraction record for LuP3O9. The X-ray diffraction stick pattern is theoretical, not measured: it uses a DFT-relaxed cell (PBE, the Materials Project) and Cu Kα, 1.54184 Å.
Peak positions follow from Bragg's law for the DFT cell and can differ from measured ones.

Cell and atoms:
```
data_LuP3O9
_chemical_formula_sum 'Lu4 P12 O36'
_symmetry_space_group_name_H-M 'P 1'
_symmetry_Int_Tables_number 1
_cell_length_a 6.982
_cell_length_b 9.710
_cell_length_c 10.914
_cell_angle_alpha 90.00
_cell_angle_beta 91.75
_cell_angle_gamma 90.00
loop_
_symmetry_equiv_pos_as_xyz
'x,y,z'
loop_
_atom_site_label
_atom_site_type_symbol
_atom_site_fract_x
_atom_site_fract_y
_atom_site_fract_z
Lu1 Lu 0.173 0.250 0.463
Lu2 Lu 0.310 0.250 0.981
Lu3 Lu 0.690 0.750 0.019
Lu4 Lu 0.827 0.750 0.537
P1 P 0.178 0.750 0.102
P2 P 0.266 0.012 0.232
P3 P 0.266 0.488 0.232
P4 P 0.315 0.750 0.625
P5 P 0.325 0.036 0.716
P6 P 0.325 0.464 0.716
P7 P 0.675 0.536 0.284
P8 P 0.675 0.964 0.284
P9 P 0.685 0.250 0.375
P10 P 0.734 0.512 0.768
P11 P 0.734 0.988 0.768
P12 P 0.822 0.250 0.898
O1 O 0.007 0.750 0.015
O2 O 0.144 0.750 0.538
O3 O 0.149 0.089 0.323
O4 O 0.149 0.411 0.323
O5 O 0.149 0.624 0.196
O6 O 0.149 0.876 0.196
O7 O 0.226 0.094 0.604
O8 O 0.226 0.406 0.604
O9 O 0.279 0.092 0.839
O10 O 0.279 0.408 0.839
O11 O 0.295 0.627 0.723
O12 O 0.295 0.873 0.723
O13 O 0.327 0.087 0.120
O14 O 0.327 0.413 0.120
O15 O 0.377 0.750 0.054
O16 O 0.449 0.552 0.306
O17 O 0.449 0.948 0.306
O18 O 0.488 0.250 0.425
O19 O 0.512 0.750 0.575
O20 O 0.551 0.052 0.694
O21 O 0.551 0.448 0.694
O22 O 0.623 0.250 0.946
O23 O 0.673 0.587 0.880
O24 O 0.673 0.913 0.880
O25 O 0.705 0.127 0.277
O26 O 0.705 0.373 0.277
O27 O 0.721 0.592 0.161
O28 O 0.721 0.908 0.161
O29 O 0.774 0.594 0.396
O30 O 0.774 0.906 0.396
O31 O 0.851 0.124 0.804
O32 O 0.851 0.376 0.804
O33 O 0.851 0.589 0.677
O34 O 0.851 0.911 0.677
O35 O 0.856 0.250 0.462
O36 O 0.993 0.250 0.985
```

The 10 most intense peaks (2θ from 5° to 70°), most intense first:
| 2θ/deg | I_rel |
| --- | --- |
| 24.55 | 100 |
| 15.64 | 69 |
| 22.34 | 44 |
| 18.66 | 34 |
| 25.53 | 31 |
| 18.27 | 25 |
| 22.91 | 23 |
| 28.61 | 22 |
| 28.15 | 20 |
| 34.90 | 18 |

(5)
Diffraction record for Zr5Te4P2. The X-ray diffraction stick pattern is theoretical, not measured: it uses a DFT-relaxed cell (PBE, the Materials Project) and Cu Kα, 1.54184 Å.
Peak positions follow from Bragg's law for the DFT cell and can differ from measured ones.

Cell and atoms:
```
data_Zr5Te4P2
_chemical_formula_sum 'Zr5 Te4 P2'
_symmetry_space_group_name_H-M 'P 1'
_symmetry_Int_Tables_number 1
_cell_length_a 21.161
_cell_length_b 21.161
_cell_length_c 21.161
_cell_angle_alpha 10.38
_cell_angle_beta 10.38
_cell_angle_gamma 10.38
loop_
_symmetry_equiv_pos_as_xyz
'x,y,z'
loop_
_atom_site_label
_atom_site_type_symbol
_atom_site_fract_x
_atom_site_fract_y
_atom_site_fract_z
Zr1 Zr 0.000 0.000 0.000
Zr2 Zr 0.063 0.063 0.063
Zr3 Zr 0.441 0.441 0.441
Zr4 Zr 0.559 0.559 0.559
Zr5 Zr 0.937 0.937 0.937
Te1 Te 0.138 0.138 0.138
Te2 Te 0.364 0.364 0.364
Te3 Te 0.636 0.636 0.636
Te4 Te 0.862 0.862 0.862
P1 P 0.248 0.248 0.248
P2 P 0.752 0.752 0.752
```

The 10 most intense peaks (2θ from 5° to 70°), most intense first:
| 2θ/deg | I_rel |
| --- | --- |
| 33.56 | 100 |
| 30.46 | 95 |
| 35.37 | 86 |
| 47.51 | 81 |
| 46.35 | 43 |
| 27.50 | 32 |
| 65.98 | 20 |
| 59.42 | 19 |
| 27.05 | 19 |
| 60.60 | 17 |